Computed powder X-ray diffraction pattern of CdFe5N4 for Cu Kα, from DFT lattice parameters and positions (GGA-PBE).
Intensities are scaled so that the largest is 100.

Most intense lines, 10° ≤ 2θ ≤ 90°, most intense first:
two_theta	d_spacing	I_rel
40.10	2.249	100
38.16	2.358	92
39.93	2.258	81
56.81	1.621	45
38.69	2.327	45
70.04	1.343	44
44.15	2.051	19
27.52	3.241	18
82.18	1.173	18
47.98	1.896	17
21.95	4.049	14
41.79	2.162	14

Cell and atoms:
a b c (Å): 5.4085 8.2058 4.6549
angles (deg): 90.00 90.00 90.00
Space group Pmmn (No. 59, origin choice 2)
Asymmetric unit:
Cd  0.2500  0.2500  0.1944 (multiplicity 2)
Fe  0.0045  0.5515  0.2379 (multiplicity 8)
Fe  0.2500  0.7500  0.6460 (multiplicity 2)
N  0.0100  0.7500  0.3621 (multiplicity 4)
N  0.2500  0.5751  0.9405 (multiplicity 4)